No. 1
The following is a computed XRD peak list of ZnBP2PbO9. It was derived from a cell relaxed with PBE, using Cu Kα (λ = 1.5418 Å).
Kinematic intensities with the Lorentz-polarization factor, no thermal factor.

Atomic structure:
```
data_ZnBP2PbO9
_symmetry_space_group_name_H-M 'P 1'
_symmetry_Int_Tables_number 1
_cell_length_a 5.331
_cell_length_b 7.999
_cell_length_c 8.298
_cell_angle_alpha 89.31
_cell_angle_beta 79.47
_cell_angle_gamma 88.03
loop_
_symmetry_equiv_pos_as_xyz
'x,y,z'
loop_
_atom_site_label
_atom_site_fract_x
_atom_site_fract_y
_atom_site_fract_z
Zn1 0.223 0.304 0.203
Zn2 0.777 0.696 0.797
B1 0.385 0.247 0.544
B2 0.615 0.753 0.456
P1 0.270 0.438 0.820
P2 0.300 0.933 0.700
P3 0.700 0.067 0.300
P4 0.730 0.562 0.180
Pb1 0.229 0.803 0.090
Pb2 0.771 0.197 0.910
O1 0.010 0.529 0.200
O2 0.053 0.879 0.812
O3 0.212 0.321 0.446
O4 0.232 0.113 0.636
O5 0.276 0.289 0.943
O6 0.366 0.817 0.547
O7 0.398 0.594 0.867
O8 0.447 0.375 0.655
O9 0.480 0.063 0.203
O10 0.520 0.937 0.797
O11 0.553 0.625 0.345
O12 0.602 0.406 0.133
O13 0.634 0.183 0.453
O14 0.724 0.711 0.057
O15 0.768 0.887 0.364
O16 0.788 0.679 0.554
O17 0.947 0.121 0.188
O18 0.990 0.471 0.800
```

The 12 most intense peaks (2θ from 10° to 90°), in order of falling intensity:
2θ = 10.84°, I 100.0
2θ = 28.52°, I 51.7
2θ = 34.25°, I 37.5
2θ = 25.10°, I 24.5
2θ = 21.80°, I 24.1
2θ = 31.68°, I 23.1
2θ = 22.24°, I 21.4
2θ = 27.79°, I 20.9
2θ = 34.78°, I 19.8
2θ = 27.63°, I 16.2
2θ = 33.99°, I 16.0
2θ = 21.18°, I 15.9

No. 2
The following is a computed XRD peak list of Zn2O3F. It was derived from a cell relaxed with PBE, using Cu Kα (λ = 1.5418 Å).
Kinematic intensities with the Lorentz-polarization factor, no thermal factor.

Atomic structure:
```
data_Zn2O3F
_symmetry_space_group_name_H-M 'P 1'
_symmetry_Int_Tables_number 1
_cell_length_a 3.111
_cell_length_b 4.623
_cell_length_c 10.295
_cell_angle_alpha 90.00
_cell_angle_beta 90.00
_cell_angle_gamma 90.00
loop_
_symmetry_equiv_pos_as_xyz
'x,y,z'
loop_
_atom_site_label
_atom_site_fract_x
_atom_site_fract_y
_atom_site_fract_z
Zn1 0.000 0.182 0.000
Zn2 0.000 0.818 0.500
Zn3 0.500 0.268 0.723
Zn4 0.500 0.732 0.223
O1 0.000 0.052 0.808
O2 0.000 0.948 0.308
O3 0.500 0.051 0.561
O4 0.500 0.405 0.910
O5 0.500 0.595 0.410
O6 0.500 0.949 0.061
F1 0.000 0.459 0.158
F2 0.000 0.541 0.658
```

The 12 most intense peaks (2θ from 10° to 90°), in order of falling intensity:
2θ = 21.06°, I 100.0
2θ = 35.87°, I 61.9
2θ = 32.49°, I 34.2
2θ = 52.42°, I 32.9
2θ = 33.66°, I 30.6
2θ = 57.23°, I 25.0
2θ = 34.86°, I 17.7
2θ = 61.74°, I 15.7
2θ = 39.01°, I 14.4
2θ = 53.27°, I 12.2
2θ = 49.94°, I 11.8
2θ = 59.41°, I 11.3

No. 3
The following is a computed XRD peak list of LiPd5O6. It was derived from a cell relaxed with PBE, using Cu Kα (λ = 1.5418 Å).
Kinematic intensities with the Lorentz-polarization factor, no thermal factor.

Atomic structure:
```
data_LiPd5O6
_symmetry_space_group_name_H-M 'P 1'
_symmetry_Int_Tables_number 1
_cell_length_a 5.409
_cell_length_b 5.409
_cell_length_c 5.827
_cell_angle_alpha 102.33
_cell_angle_beta 102.33
_cell_angle_gamma 114.49
loop_
_symmetry_equiv_pos_as_xyz
'x,y,z'
loop_
_atom_site_label
_atom_site_fract_x
_atom_site_fract_y
_atom_site_fract_z
Li1 0.000 0.000 0.000
Pd1 0.173 0.827 0.500
Pd2 0.333 0.667 0.000
Pd3 0.500 0.500 0.500
Pd4 0.667 0.333 0.000
Pd5 0.827 0.173 0.500
O1 0.140 0.473 0.227
O2 0.226 0.226 0.692
O3 0.473 0.140 0.227
O4 0.527 0.860 0.773
O5 0.774 0.774 0.308
O6 0.860 0.527 0.773
```

The 12 most intense peaks (2θ from 10° to 90°), in order of falling intensity:
2θ = 40.92°, I 100.0
2θ = 34.84°, I 80.3
2θ = 36.86°, I 62.3
2θ = 33.32°, I 47.2
2θ = 33.47°, I 45.4
2θ = 56.35°, I 34.3
2θ = 56.14°, I 33.8
2θ = 19.17°, I 24.6
2θ = 71.46°, I 21.0
2θ = 57.35°, I 16.9
2θ = 65.11°, I 16.6
2θ = 61.12°, I 15.5

No. 4
The following is a computed XRD peak list of ScTlO3. It was derived from a cell relaxed with PBE, using Cu Kα (λ = 1.5418 Å).
Kinematic intensities with the Lorentz-polarization factor, no thermal factor.

Atomic structure:
```
data_ScTlO3
_symmetry_space_group_name_H-M 'P 1'
_symmetry_Int_Tables_number 1
_cell_length_a 5.682
_cell_length_b 8.178
_cell_length_c 5.518
_cell_angle_alpha 90.00
_cell_angle_beta 90.00
_cell_angle_gamma 90.00
loop_
_symmetry_equiv_pos_as_xyz
'x,y,z'
loop_
_atom_site_label
_atom_site_fract_x
_atom_site_fract_y
_atom_site_fract_z
Sc1 0.000 0.000 0.000
Sc2 0.000 0.500 0.000
Sc3 0.500 0.000 0.500
Sc4 0.500 0.500 0.500
Tl1 0.053 0.250 0.481
Tl2 0.447 0.750 0.981
Tl3 0.553 0.250 0.019
Tl4 0.947 0.750 0.519
O1 0.063 0.750 0.122
O2 0.192 0.566 0.689
O3 0.192 0.934 0.689
O4 0.308 0.066 0.189
O5 0.308 0.434 0.189
O6 0.437 0.250 0.622
O7 0.563 0.750 0.378
O8 0.692 0.566 0.811
O9 0.692 0.934 0.811
O10 0.808 0.066 0.311
O11 0.808 0.434 0.311
O12 0.937 0.250 0.878
```

The 12 most intense peaks (2θ from 10° to 90°), in order of falling intensity:
2θ = 31.46°, I 100.0
2θ = 22.46°, I 36.1
2θ = 21.74°, I 23.5
2θ = 32.45°, I 18.8
2θ = 56.01°, I 18.2
2θ = 57.26°, I 17.9
2θ = 52.28°, I 17.6
2θ = 45.85°, I 14.3
2θ = 39.40°, I 13.4
2θ = 24.99°, I 13.1
2θ = 44.31°, I 11.4
2θ = 38.59°, I 10.2

No. 5
The following is a computed XRD peak list of HfBC. It was derived from a cell relaxed with PBE, using Cu Kα (λ = 1.5418 Å).
Kinematic intensities with the Lorentz-polarization factor, no thermal factor.

Atomic structure:
```
data_HfBC
_symmetry_space_group_name_H-M 'P 1'
_symmetry_Int_Tables_number 1
_cell_length_a 2.945
_cell_length_b 2.945
_cell_length_c 7.531
_cell_angle_alpha 90.00
_cell_angle_beta 90.00
_cell_angle_gamma 120.00
loop_
_symmetry_equiv_pos_as_xyz
'x,y,z'
loop_
_atom_site_label
_atom_site_fract_x
_atom_site_fract_y
_atom_site_fract_z
Hf1 0.000 0.000 0.000
Hf2 0.000 0.000 0.500
B1 0.333 0.667 0.250
B2 0.667 0.333 0.750
C1 0.333 0.667 0.750
C2 0.667 0.333 0.250
```

The 12 most intense peaks (2θ from 10° to 90°), in order of falling intensity:
2θ = 42.82°, I 100.0
2θ = 35.18°, I 70.0
2θ = 23.63°, I 54.9
2θ = 61.18°, I 29.4
2θ = 68.40°, I 19.4
2θ = 63.13°, I 17.0
2θ = 79.31°, I 16.5
2θ = 83.30°, I 15.9
2θ = 86.40°, I 13.6
2θ = 48.34°, I 12.8
2θ = 74.38°, I 8.3
2θ = 75.79°, I 2.4

No. 6
The following is a computed XRD peak list of LiAlPO4F. It was derived from a cell relaxed with PBE, using Cu Kα (λ = 1.5418 Å).
Kinematic intensities with the Lorentz-polarization factor, no thermal factor.

Atomic structure:
```
data_LiAlPO4F
_symmetry_space_group_name_H-M 'P 1'
_symmetry_Int_Tables_number 1
_cell_length_a 5.128
_cell_length_b 5.193
_cell_length_c 6.982
_cell_angle_alpha 107.49
_cell_angle_beta 108.19
_cell_angle_gamma 97.98
loop_
_symmetry_equiv_pos_as_xyz
'x,y,z'
loop_
_atom_site_label
_atom_site_fract_x
_atom_site_fract_y
_atom_site_fract_z
Li1 0.232 0.380 0.263
Li2 0.768 0.620 0.737
Al1 0.500 0.000 0.000
Al2 0.500 0.000 0.500
P1 0.174 0.356 0.747
P2 0.826 0.644 0.253
O1 0.142 0.760 0.402
O2 0.199 0.672 0.853
O3 0.253 0.218 0.917
O4 0.371 0.317 0.614
O5 0.629 0.683 0.386
O6 0.747 0.782 0.083
O7 0.801 0.328 0.147
O8 0.858 0.240 0.598
F1 0.403 0.066 0.243
F2 0.597 0.934 0.757
```

The 12 most intense peaks (2θ from 10° to 90°), in order of falling intensity:
2θ = 28.06°, I 100.0
2θ = 18.89°, I 84.9
2θ = 29.84°, I 68.7
2θ = 26.92°, I 32.0
2θ = 27.23°, I 27.1
2θ = 37.53°, I 23.4
2θ = 46.48°, I 21.8
2θ = 52.51°, I 17.2
2θ = 27.80°, I 16.9
2θ = 47.19°, I 16.3
2θ = 27.43°, I 15.7
2θ = 35.35°, I 15.6

No. 7
The following is a computed XRD peak list of GdCl. It was derived from a cell relaxed with PBE, using Cu Kα (λ = 1.5418 Å).
Kinematic intensities with the Lorentz-polarization factor, no thermal factor.

Atomic structure:
```
data_GdCl
_symmetry_space_group_name_H-M 'P 1'
_symmetry_Int_Tables_number 1
_cell_length_a 3.668
_cell_length_b 3.668
_cell_length_c 9.536
_cell_angle_alpha 90.00
_cell_angle_beta 90.00
_cell_angle_gamma 120.00
loop_
_symmetry_equiv_pos_as_xyz
'x,y,z'
loop_
_atom_site_label
_atom_site_fract_x
_atom_site_fract_y
_atom_site_fract_z
Gd1 0.333 0.667 0.000
Gd2 0.667 0.333 0.500
Cl1 0.333 0.667 0.711
Cl2 0.667 0.333 0.211
```

The 12 most intense peaks (2θ from 10° to 90°), in order of falling intensity:
2θ = 29.64°, I 100.0
2θ = 40.13°, I 63.3
2θ = 18.61°, I 45.2
2θ = 28.09°, I 31.2
2θ = 49.71°, I 24.9
2θ = 64.05°, I 20.1
2θ = 53.53°, I 18.3
2θ = 65.71°, I 18.0
2θ = 37.73°, I 16.2
2θ = 33.91°, I 16.0
2θ = 86.68°, I 15.6
2θ = 58.95°, I 14.4

No. 8
The following is a computed XRD peak list of Hf6FeSb2. It was derived from a cell relaxed with PBE, using Cu Kα (λ = 1.5418 Å).
Kinematic intensities with the Lorentz-polarization factor, no thermal factor.

Atomic structure:
```
data_Hf6FeSb2
_symmetry_space_group_name_H-M 'P 1'
_symmetry_Int_Tables_number 1
_cell_length_a 7.734
_cell_length_b 7.734
_cell_length_c 3.574
_cell_angle_alpha 90.00
_cell_angle_beta 90.00
_cell_angle_gamma 120.00
loop_
_symmetry_equiv_pos_as_xyz
'x,y,z'
loop_
_atom_site_label
_atom_site_fract_x
_atom_site_fract_y
_atom_site_fract_z
Hf1 0.000 0.239 0.000
Hf2 0.000 0.606 0.500
Hf3 0.239 0.000 0.000
Hf4 0.394 0.394 0.500
Hf5 0.606 0.000 0.500
Hf6 0.761 0.761 0.000
Fe1 0.000 0.000 0.500
Sb1 0.333 0.667 0.000
Sb2 0.667 0.333 0.000
```

The 12 most intense peaks (2θ from 10° to 90°), in order of falling intensity:
2θ = 34.16°, I 100.0
2θ = 35.46°, I 67.4
2θ = 36.78°, I 53.0
2θ = 63.73°, I 30.0
2θ = 40.40°, I 28.6
2θ = 43.82°, I 25.2
2θ = 66.20°, I 23.7
2θ = 55.77°, I 17.0
2θ = 51.11°, I 16.9
2θ = 69.48°, I 13.1
2θ = 67.09°, I 12.7
2θ = 73.51°, I 7.7